[1]
Starting from a GGA-PBE-relaxed structure, the PXRD pattern of Sr2Hf7O16 was simulated for Cu Kα.
Intensities are scaled so that the largest is 100.

Peak list (6 most intense, 2θ from 10° to 90°, low angle first)
2theta, Rel. int., h k l
29.63, 100, 2 -1 3
29.99, 32, 0 0 9
34.45, 47, 1 1 6
49.27, 27, 3 0 0
49.75, 28, 2 -1 12
58.77, 24, 0 3 9

Structure:
```
data_Sr2Hf7O16
_space_group_name_H-M_alt 'R -3'
_space_group_IT_number 148
_space_group_name_Hall '-R 3'
_cell_length_a 6.4063
_cell_length_b 6.4063
_cell_length_c 26.8129
_cell_angle_alpha 90.00
_cell_angle_beta 90.00
_cell_angle_gamma 120.00
loop_
_atom_site_label
_atom_site_type_symbol
_atom_site_fract_x
_atom_site_fract_y
_atom_site_fract_z
Sr1 Sr 0.0000 0.0000 0.1666
Hf1 Hf 0.0000 0.0000 0.5000
Hf2 Hf 0.0016 0.6310 0.3846
O1 O 0.0000 0.0000 0.0709
O2 O 0.0000 0.0000 0.2645
O3 O 0.0075 0.7292 0.4572
O4 O 0.0136 0.7248 0.6368
```

[2]
Starting from a GGA-PBE-relaxed structure, the PXRD pattern of Sr4HfO6 was simulated for Cu Kα.
Intensities are scaled so that the largest is 100.

Peak list (6 most intense, 2θ from 10° to 90°, low angle first)
2theta, Rel. int., h k l
17.73, 62, 1 1 0
28.25, 43, 1 1 3
30.91, 100, 3 0 0
40.35, 49, 2 1 4
42.37, 29, 2 2 3
55.03, 40, 3 3 0

Structure:
```
data_Sr4HfO6
_space_group_name_H-M_alt 'R -3 c'
_space_group_IT_number 167
_space_group_name_Hall '-R 3 2"c'
_cell_length_a 10.0208
_cell_length_b 10.0208
_cell_length_c 12.2090
_cell_angle_alpha 90.00
_cell_angle_beta 90.00
_cell_angle_gamma 120.00
loop_
_atom_site_label
_atom_site_type_symbol
_atom_site_fract_x
_atom_site_fract_y
_atom_site_fract_z
Sr1 Sr 0.0000 0.0000 0.2500
Sr2 Sr 0.0000 0.3565 0.2500
Hf1 Hf 0.0000 0.0000 0.0000
O1 O 0.0269 0.1831 0.3985
```

[3]
Starting from a GGA-PBE-relaxed structure, the PXRD pattern of Sr3Hf2O7 was simulated for Cu Kα.
Intensities are scaled so that the largest is 100.

Peak list (6 most intense, 2θ from 10° to 90°, low angle first)
2theta, Rel. int., h k l
22.18, 17, 1 1 1
30.29, 100, 1 5 1
30.99, 59, 2 0 0
44.40, 29, 2 0 2
53.36, 22, 2 10 0
54.69, 42, 3 5 1

Structure:
```
data_Sr3Hf2O7
_space_group_name_H-M_alt 'C c c e'
_space_group_IT_number 68
_cell_length_a 5.7707
_cell_length_b 21.3660
_cell_length_c 5.7710
_cell_angle_alpha 90.00
_cell_angle_beta 90.00
_cell_angle_gamma 90.00
loop_
_space_group_symop_operation_xyz
'x,y,z'
'-x,-y,-z'
'-x+1/2,-y,z'
'x+1/2,y,-z'
'x+1/2,-y,-z+1/2'
'-x+1/2,y,z+1/2'
'-x,y,-z+1/2'
'x,-y,z+1/2'
'x+1/2,y+1/2,z'
'-x+1/2,-y+1/2,-z'
'-x,-y+1/2,z'
'x,y+1/2,-z'
'x,-y+1/2,-z+1/2'
'-x,y+1/2,z+1/2'
'-x+1/2,y+1/2,-z+1/2'
'x+1/2,-y+1/2,z+1/2'
loop_
_atom_site_label
_atom_site_type_symbol
_atom_site_fract_x
_atom_site_fract_y
_atom_site_fract_z
Sr1 Sr 0.0000 0.0615 0.2500
Sr2 Sr 0.0000 0.2500 0.2500
Hf1 Hf 0.0000 0.1515 0.7500
O1 O 0.0000 0.0538 0.7500
O2 O 0.0000 0.2500 0.7500
O3 O 0.2012 0.1528 0.0488
```